Diffraction record for Na2DyMoPO8. The powder diffractogram is theoretical, not measured: it uses a cell relaxed with PBE+U and Cu Kα.

Most intense lines, 10° ≤ 2θ ≤ 90°, in order of rising 2θ:
2θ = 14.5°, intensity 52
2θ = 17.6°, intensity 36
2θ = 19.5°, intensity 32
2θ = 19.9°, intensity 40
2θ = 27.2°, intensity 31
2θ = 27.4°, intensity 100
2θ = 29.5°, intensity 40
2θ = 32.4°, intensity 69
2θ = 35.4°, intensity 44
2θ = 47.8°, intensity 31

```
data_Na2DyMoPO8
_cell_length_a 6.965
_cell_length_b 12.214
_cell_length_c 18.184
_cell_angle_alpha 90.00
_cell_angle_beta 90.00
_cell_angle_gamma 90.00
_symmetry_space_group_name_H-M 'I b c a'
_symmetry_Int_Tables_number 73
_symmetry_space_group_name_Hall '-I 2b 2c'
loop_
_atom_site_label
_atom_site_type_symbol
_atom_site_fract_x
_atom_site_fract_y
_atom_site_fract_z
Na1 Na 0.006 0.051 0.154
Dy1 Dy 0.250 0.178 0.500
Mo1 Mo 0.000 0.250 0.322
P1 P 0.250 0.069 0.000
O1 O 0.039 0.129 0.768
O2 O 0.075 0.148 0.007
O3 O 0.209 0.226 0.379
O4 O 0.239 0.007 0.568
```